For NaMo4O14, a DFT-relaxed cell (PBE+U, Alexandria) gives the theoretical powder diffractogram in this record (Cu Kα (weighted mean of Kα1 and Kα2)).

Crystal structure
a b c (Å): 5.3849 5.3849 10.1714
angles (deg): 97.55 97.55 90.27
Atoms (fractional coordinates):
1 Na 0.0000 0.0000 0.0000
2 Mo 0.1578 0.1605 0.6466
3 Mo 0.3317 0.3343 0.3490
4 Mo 0.6657 0.6683 0.6510
5 Mo 0.8395 0.8422 0.3534
6 O 0.0921 0.5927 0.3733
7 O 0.1050 0.1071 0.4155
8 O 0.1648 0.1680 0.8181
9 O 0.2587 0.2606 0.1777
10 O 0.4028 0.4061 0.6111
11 O 0.4073 0.9079 0.6267
12 O 0.4156 0.5844 0.0000
13 O 0.5767 0.4233 0.0000
14 O 0.5908 0.0955 0.3737
15 O 0.5939 0.5972 0.3889
16 O 0.7394 0.7413 0.8223
17 O 0.8320 0.8352 0.1819
18 O 0.8929 0.8950 0.5845
19 O 0.9045 0.4092 0.6263

Main lines, in order of rising 2θ (2θ = 15–90°):
2θ/deg  Rel. int.
23.31  87.1
26.76  44.3
27.02  100.0
35.78  21.9
35.97  61.2
55.66  31.2